This entry pairs a crystal structure of Li4MnCo2O7 with its simulated PXRD pattern. Radiation: CuKα. Structure: the PBE+U geometry in the Materials Project.
Kinematic intensities with the Lorentz-polarization factor, no thermal factor.

abc: 4.992 6.603 7.812
angles: 86.03 77.56 83.15
Fractional positions:
Li 0.000 0.000 0.000
Li 0.066 0.862 0.346
Li 0.217 0.577 0.067
Li 0.353 0.279 0.796
Li 0.497 0.998 0.500
Li 0.650 0.720 0.208
Li 0.790 0.413 0.930
Li 0.919 0.137 0.654
Mn 0.137 0.712 0.716
Mn 0.278 0.426 0.430
Co 0.422 0.139 0.135
Co 0.565 0.860 0.864
Co 0.706 0.569 0.573
Co 0.849 0.274 0.280
O 0.026 0.445 0.664
O 0.114 0.284 0.051
O 0.175 0.165 0.395
O 0.258 0.967 0.747
O 0.338 0.862 0.104
O 0.387 0.690 0.481
O 0.453 0.580 0.800
O 0.520 0.429 0.202
O 0.585 0.310 0.532
O 0.662 0.135 0.897
O 0.740 0.018 0.255
O 0.830 0.828 0.612
O 0.892 0.710 0.939
O 0.957 0.553 0.344

The 6 most intense peaks (10 to 90 degrees two-theta), low angle first:
18.25 deg, rel. 100
36.03 deg, rel. 25
43.55 deg, rel. 27
43.66 deg, rel. 26
43.82 deg, rel. 26
62.71 deg, rel. 14



This entry pairs a crystal structure of Li5Mn2CoO8 with its simulated PXRD pattern. Radiation: CuKα. Structure: the PBE+U geometry in the Materials Project.
Kinematic intensities with the Lorentz-polarization factor, no thermal factor.

abc: 19.746 19.746 19.746
angles: 8.66 8.66 8.66
Fractional positions:
Li 0.000 0.000 0.000
Li 0.122 0.122 0.122
Li 0.247 0.247 0.247
Li 0.492 0.492 0.492
Li 0.749 0.749 0.749
Mn 0.622 0.622 0.622
Mn 0.872 0.872 0.872
Co 0.372 0.372 0.372
O 0.057 0.057 0.057
O 0.188 0.188 0.188
O 0.307 0.307 0.307
O 0.434 0.434 0.434
O 0.558 0.558 0.558
O 0.686 0.686 0.686
O 0.810 0.810 0.810
O 0.936 0.936 0.936

The 6 most intense peaks (10 to 90 degrees two-theta), low angle first:
13.50 deg, rel. 16
18.04 deg, rel. 99
35.28 deg, rel. 40
42.74 deg, rel. 100
61.82 deg, rel. 26
62.26 deg, rel. 28



This entry pairs a crystal structure of Li2MnCoO4 with its simulated PXRD pattern. Radiation: CuKα. Structure: the PBE+U geometry in the Materials Project.
Kinematic intensities with the Lorentz-polarization factor, no thermal factor.

abc: 3.063 5.037 5.158
angles: 101.30 104.37 92.50
Fractional positions:
Li 0.242 0.248 0.496
Li 0.758 0.752 0.504
Mn 0.000 0.500 0.000
Co 0.500 0.000 0.000
O 0.099 0.865 0.226
O 0.349 0.640 0.768
O 0.651 0.360 0.232
O 0.901 0.135 0.774

The 6 most intense peaks (10 to 90 degrees two-theta), low angle first:
18.17 deg, rel. 100
33.85 deg, rel. 19
36.58 deg, rel. 16
40.67 deg, rel. 32
43.29 deg, rel. 26
44.68 deg, rel. 23



This entry pairs a crystal structure of Li4MnCo2O7 with its simulated PXRD pattern. Radiation: CuKα. Structure: the PBE+U geometry in the Materials Project.
Kinematic intensities with the Lorentz-polarization factor, no thermal factor.

abc: 4.994 5.061 10.622
angles: 84.15 80.21 72.74
Fractional positions:
Li 0.000 0.000 0.000
Li 0.061 0.501 0.866
Li 0.130 0.994 0.731
Li 0.271 0.007 0.444
Li 0.429 0.997 0.145
Li 0.580 0.986 0.861
Li 0.706 0.001 0.580
Li 0.857 0.999 0.294
Mn 0.356 0.494 0.294
Mn 0.933 0.494 0.146
Co 0.206 0.503 0.584
Co 0.494 0.500 0.003
Co 0.633 0.505 0.730
Co 0.787 0.494 0.438
O 0.026 0.726 0.446
O 0.116 0.257 0.286
O 0.161 0.733 0.163
O 0.227 0.289 0.022
O 0.332 0.734 0.874
O 0.400 0.282 0.712
O 0.443 0.731 0.586
O 0.551 0.262 0.428
O 0.635 0.704 0.290
O 0.688 0.268 0.138
O 0.739 0.728 0.019
O 0.798 0.259 0.854
O 0.854 0.728 0.723
O 0.966 0.272 0.573

The 6 most intense peaks (10 to 90 degrees two-theta), low angle first:
18.39 deg, rel. 100
34.17 deg, rel. 20
36.80 deg, rel. 22
41.04 deg, rel. 35
44.79 deg, rel. 52
62.20 deg, rel. 16



This entry pairs a crystal structure of Li7Mn2Co3O12 with its simulated PXRD pattern. Radiation: CuKα. Structure: the PBE+U geometry in the Materials Project.
Kinematic intensities with the Lorentz-polarization factor, no thermal factor.

abc: 5.115 5.887 7.695
angles: 101.60 108.09 90.61
Fractional positions:
Li 0.000 0.000 0.000
Li 0.484 0.087 0.323
Li 0.494 0.579 0.331
Li 0.497 0.236 0.004
Li 0.503 0.764 0.996
Li 0.506 0.421 0.669
Li 0.516 0.913 0.677
Mn 0.003 0.669 0.670
Mn 0.997 0.331 0.330
Co 0.000 0.500 0.000
Co 0.003 0.165 0.676
Co 0.997 0.835 0.324
O 0.218 0.138 0.490
O 0.219 0.613 0.495
O 0.224 0.298 0.174
O 0.229 0.778 0.172
O 0.232 0.474 0.824
O 0.237 0.947 0.815
O 0.763 0.053 0.185
O 0.768 0.526 0.176
O 0.771 0.222 0.828
O 0.776 0.702 0.826
O 0.781 0.387 0.505
O 0.782 0.862 0.510

The 6 most intense peaks (10 to 90 degrees two-theta), low angle first:
18.30 deg, rel. 100
35.63 deg, rel. 14
36.10 deg, rel. 14
42.97 deg, rel. 30
43.78 deg, rel. 28
43.99 deg, rel. 28



This entry pairs a crystal structure of Li4MnCo2O7 with its simulated PXRD pattern. Radiation: CuKα. Structure: the PBE+U geometry in the Materials Project.
Kinematic intensities with the Lorentz-polarization factor, no thermal factor.

abc: 14.736 14.736 5.883
angles: 96.25 96.25 11.39
Fractional positions:
Li 0.000 0.000 0.000
Li 0.000 0.000 0.500
Li 0.143 0.143 0.573
Li 0.285 0.285 0.142
Li 0.433 0.433 0.710
Li 0.567 0.567 0.290
Li 0.715 0.715 0.858
Li 0.857 0.857 0.427
Mn 0.432 0.432 0.220
Mn 0.568 0.568 0.780
Co 0.143 0.143 0.072
Co 0.286 0.286 0.643
Co 0.714 0.714 0.357
Co 0.857 0.857 0.928
O 0.072 0.072 0.563
O 0.073 0.073 0.011
O 0.212 0.212 0.121
O 0.215 0.215 0.591
O 0.356 0.356 0.696
O 0.361 0.361 0.163
O 0.494 0.494 0.246
O 0.506 0.506 0.754
O 0.639 0.639 0.837
O 0.644 0.644 0.304
O 0.785 0.785 0.409
O 0.788 0.788 0.879
O 0.927 0.927 0.989
O 0.928 0.928 0.437

The 6 most intense peaks (10 to 90 degrees two-theta), low angle first:
18.38 deg, rel. 100
35.96 deg, rel. 40
43.46 deg, rel. 29
43.65 deg, rel. 56
63.06 deg, rel. 15
63.52 deg, rel. 15



This entry pairs a crystal structure of Li4MnCo2O7 with its simulated PXRD pattern. Radiation: CuKα. Structure: the PBE+U geometry in the Materials Project.
Kinematic intensities with the Lorentz-polarization factor, no thermal factor.

abc: 3.021 5.109 17.146
angles: 85.61 88.42 75.64
Fractional positions:
Li 0.000 0.000 0.000
Li 0.002 0.997 0.500
Li 0.149 0.716 0.287
Li 0.287 0.420 0.571
Li 0.432 0.140 0.855
Li 0.575 0.852 0.141
Li 0.717 0.576 0.427
Li 0.855 0.282 0.713
Mn 0.716 0.570 0.927
Mn 0.857 0.282 0.216
Co 0.140 0.713 0.781
Co 0.288 0.426 0.071
Co 0.440 0.135 0.364
Co 0.570 0.862 0.636
O 0.048 0.843 0.887
O 0.088 0.882 0.390
O 0.188 0.558 0.175
O 0.236 0.591 0.679
O 0.358 0.280 0.453
O 0.386 0.297 0.967
O 0.517 0.016 0.257
O 0.519 0.975 0.742
O 0.646 0.716 0.546
O 0.662 0.694 0.032
O 0.773 0.442 0.822
O 0.775 0.405 0.320
O 0.914 0.158 0.110
O 0.920 0.115 0.609

The 6 most intense peaks (10 to 90 degrees two-theta), low angle first:
18.34 deg, rel. 100
34.32 deg, rel. 19
35.99 deg, rel. 13
41.20 deg, rel. 35
43.77 deg, rel. 28
45.00 deg, rel. 25



This entry pairs a crystal structure of Li5MnCo2O8 with its simulated PXRD pattern. Radiation: CuKα. Structure: the PBE+U geometry in the Materials Project.
Kinematic intensities with the Lorentz-polarization factor, no thermal factor.

abc: 5.926 2.940 8.109
angles: 90.00 90.57 90.00
Fractional positions:
Li 0.000 0.000 0.000
Li 0.012 0.000 0.489
Li 0.256 0.500 0.753
Li 0.526 0.000 0.002
Li 0.770 0.500 0.230
Mn 0.767 0.500 0.753
Co 0.250 0.500 0.234
Co 0.518 0.000 0.482
O 0.031 0.000 0.246
O 0.265 0.500 0.022
O 0.276 0.500 0.474
O 0.505 0.000 0.251
O 0.536 0.000 0.737
O 0.750 0.500 0.507
O 0.761 0.500 0.977
O 0.985 0.000 0.743

The 6 most intense peaks (10 to 90 degrees two-theta), low angle first:
10.91 deg, rel. 25
18.46 deg, rel. 100
35.89 deg, rel. 31
43.36 deg, rel. 64
44.71 deg, rel. 29
63.78 deg, rel. 16